(1)
The following is a calculated powder XRD pattern of Nd6MnSi2S14. It was derived from the GGA-PBE geometry in Alexandria, using Cu Kα (λ = 1.5418 Å).

Atomic structure:
Cell: 10.2198 10.2198 5.7253 Å, 90.00 90.00 120.00°
Sites, in units of the cell vectors:
Nd: 0.0232 0.5662 0.0000
Nd: 0.3098 0.0997 0.5051
Nd: 0.4338 0.4569 0.0000
Nd: 0.5431 0.9768 0.0000
Nd: 0.7899 0.6902 0.5051
Nd: 0.9003 0.2101 0.5051
Mn: 0.6667 0.3333 0.2654
Si: 0.0000 0.0000 0.9202
Si: 0.3333 0.6667 0.4127
S: 0.0000 0.0000 0.2877
S: 0.0758 0.8555 0.7750
S: 0.1445 0.2203 0.7750
S: 0.1894 0.4460 0.2691
S: 0.2566 0.8106 0.2691
S: 0.3333 0.6667 0.7807
S: 0.4213 0.1733 0.0280
S: 0.5043 0.4165 0.5066
S: 0.5540 0.7434 0.2691
S: 0.5835 0.0879 0.5066
S: 0.7520 0.5787 0.0280
S: 0.7797 0.9242 0.7750
S: 0.8267 0.2480 0.0280
S: 0.9121 0.4957 0.5066

Principal peaks in the range 5 to 70 degrees two-theta, low angle first:
4.807 Å, 18.46 deg, I 32
3.812 Å, 23.33 deg, I 46
3.501 Å, 25.44 deg, I 100
3.345 Å, 26.65 deg, I 31
2.555 Å, 35.12 deg, I 30
2.455 Å, 36.61 deg, I 51
2.404 Å, 37.42 deg, I 35
2.256 Å, 39.96 deg, I 55
2.175 Å, 41.52 deg, I 34
1.864 Å, 48.87 deg, I 30



(2)
The following is a calculated powder XRD pattern of Tb2SiGe2. It was derived from the GGA-PBE geometry in Alexandria, using Cu Kα (λ = 1.5418 Å).

Atomic structure:
Cell: 5.8026 5.8026 10.9481 Å, 115.75 115.75 41.38°
Sites, in units of the cell vectors:
Tb: 0.0942 0.0942 0.4010
Tb: 0.3022 0.3022 0.8533
Tb: 0.6978 0.6978 0.1467
Tb: 0.9058 0.9058 0.5990
Si: 0.4323 0.4323 0.2015
Si: 0.5677 0.5677 0.7985
Ge: 0.0485 0.0485 0.9127
Ge: 0.3622 0.3622 0.3855
Ge: 0.6378 0.6378 0.6145
Ge: 0.9515 0.9515 0.0873

Principal peaks in the range 5 to 70 degrees two-theta, low angle first:
3.553 Å, 25.06 deg, I 22
3.280 Å, 27.18 deg, I 37
2.744 Å, 32.63 deg, I 100
2.712 Å, 33.03 deg, I 56
2.696 Å, 33.23 deg, I 44
2.525 Å, 35.55 deg, I 20
2.424 Å, 37.09 deg, I 30
2.195 Å, 41.12 deg, I 53
2.050 Å, 44.18 deg, I 33
1.635 Å, 56.25 deg, I 21



(3)
The following is a calculated powder XRD pattern of YTcCl. It was derived from the GGA-PBE geometry in Alexandria, using Cu Kα (λ = 1.5418 Å).

Atomic structure:
Cell: 11.4485 11.4485 11.4485 Å, 20.35 20.35 20.35°
Sites, in units of the cell vectors:
Y: 0.0657 0.0657 0.0657
Y: 0.9343 0.9343 0.9343
Tc: 0.3390 0.3390 0.3390
Tc: 0.6610 0.6610 0.6610
Cl: 0.2188 0.2188 0.2188
Cl: 0.7812 0.7812 0.7812

Principal peaks in the range 5 to 70 degrees two-theta, low angle first:
11.208 Å, 7.89 deg, I 100
2.830 Å, 31.62 deg, I 39
2.691 Å, 33.30 deg, I 11
2.426 Å, 37.06 deg, I 9
2.242 Å, 40.23 deg, I 5
2.022 Å, 44.82 deg, I 20
1.990 Å, 45.59 deg, I 9
1.645 Å, 55.88 deg, I 7
1.501 Å, 61.79 deg, I 8
1.372 Å, 68.37 deg, I 5



(4)
The following is a calculated powder XRD pattern of PmMgTiIn. It was derived from the GGA-PBE geometry in Alexandria, using Cu Kα (λ = 1.5418 Å).

Atomic structure:
Cell: 7.2409 7.2409 7.2409 Å, 90.00 90.00 90.00°
Sites, in units of the cell vectors:
Pm: 0.0000 0.0000 0.0000
Pm: 0.0000 0.5000 0.5000
Pm: 0.5000 0.0000 0.5000
Pm: 0.5000 0.5000 0.0000
Mg: 0.2500 0.2500 0.7500
Mg: 0.2500 0.7500 0.2500
Mg: 0.7500 0.2500 0.2500
Mg: 0.7500 0.7500 0.7500
Ti: 0.0000 0.0000 0.5000
Ti: 0.0000 0.5000 0.0000
Ti: 0.5000 0.0000 0.0000
Ti: 0.5000 0.5000 0.5000
In: 0.2500 0.2500 0.2500
In: 0.2500 0.7500 0.7500
In: 0.7500 0.2500 0.7500
In: 0.7500 0.7500 0.2500

Principal peaks in the range 5 to 70 degrees two-theta, low angle first:
4.181 Å, 21.25 deg, I 37
3.620 Å, 24.59 deg, I 3
2.560 Å, 35.05 deg, I 100
2.183 Å, 41.36 deg, I 20
2.090 Å, 43.29 deg, I 1
1.810 Å, 50.41 deg, I 17
1.661 Å, 55.30 deg, I 9
1.619 Å, 56.87 deg, I 1
1.478 Å, 62.88 deg, I 35
1.394 Å, 67.18 deg, I 7



(5)
The following is a calculated powder XRD pattern of USn2Cl5F4. It was derived from the GGA-PBE geometry in Alexandria, using Cu Kα (λ = 1.5418 Å).

Atomic structure:
Cell: 6.5378 8.3281 8.3281 Å, 141.55 90.00 90.00°
Sites, in units of the cell vectors:
U: 0.0000 0.0000 0.0000
Sn: 0.5000 0.3665 0.6897
Sn: 0.5000 0.6897 0.3665
Cl: 0.2472 0.0685 0.7185
Cl: 0.2472 0.7185 0.0685
Cl: 0.5000 0.2480 0.2480
Cl: 0.7528 0.0685 0.7185
Cl: 0.7528 0.7185 0.0685
F: 0.0000 0.2003 0.3687
F: 0.0000 0.3687 0.2003
F: 0.2108 0.7229 0.7229
F: 0.7892 0.7229 0.7229

Principal peaks in the range 5 to 70 degrees two-theta, low angle first:
5.027 Å, 17.64 deg, I 73
4.060 Å, 21.89 deg, I 100
3.790 Å, 23.47 deg, I 48
3.369 Å, 26.45 deg, I 28
2.621 Å, 34.21 deg, I 28
2.518 Å, 35.66 deg, I 28
2.475 Å, 36.29 deg, I 81
2.407 Å, 37.35 deg, I 25
2.127 Å, 42.50 deg, I 27
2.101 Å, 43.06 deg, I 21